Entry 1:
Structure and calculated PXRD pattern of TbCu12Ni6 (a PBE-relaxed structure; Cu Kα, 1.54184 Å).
No peak broadening, texture or thermal motion is included.

Main lines, in order of rising 2θ (2θ = 10–90°):
Position (°2θ)  I/Imax
37.24  67
37.57  100
44.87  50
48.93  46
49.32  44
55.64  43

Atomic structure:
a b c (Å): 6.6072 6.6072 6.6072
angles (deg): 104.18 104.18 104.18
Positions (direct):
Tb 0.0000 0.0000 0.0000
Cu 0.1115 0.5000 0.8885
Cu 0.1115 0.8885 0.5000
Cu 0.1179 0.3775 0.3775
Cu 0.3775 0.1179 0.3775
Cu 0.3775 0.3775 0.1179
Cu 0.5000 0.1115 0.8885
Cu 0.5000 0.8885 0.1115
Cu 0.6225 0.6225 0.8821
Cu 0.6225 0.8821 0.6225
Cu 0.8821 0.6225 0.6225
Cu 0.8885 0.1115 0.5000
Cu 0.8885 0.5000 0.1115
Ni 0.2960 0.2960 0.6963
Ni 0.2960 0.6963 0.2960
Ni 0.3037 0.7040 0.7040
Ni 0.6963 0.2960 0.2960
Ni 0.7040 0.3037 0.7040
Ni 0.7040 0.7040 0.3037

***

Entry 2:
Structure and calculated PXRD pattern of ZrCu2W (a PBE-relaxed structure; Cu Kα, 1.54184 Å).
No peak broadening, texture or thermal motion is included.

Main lines, in order of rising 2θ (2θ = 10–90°):
Position (°2θ)  I/Imax
15.13  38
38.65  100
40.17  94
44.88  33
45.31  32
47.28  29

Atomic structure:
a b c (Å): 2.7653 3.8448 5.8575
angles (deg): 90.00 90.52 90.00
Positions (direct):
Zr 0.0000 0.0000 0.0000
Cu 0.5002 0.5000 0.2797
Cu 0.4998 0.5000 0.7203
W 0.0000 0.0000 0.5000

***

Entry 3:
Structure and calculated PXRD pattern of CaTb4Pr7 (a PBE-relaxed structure; Cu Kα, 1.54184 Å).
No peak broadening, texture or thermal motion is included.

Main lines, in order of rising 2θ (2θ = 10–90°):
Position (°2θ)  I/Imax
29.76  100
29.86  33
34.50  45
49.56  24
49.69  24
58.96  33

Atomic structure:
a b c (Å): 6.3541 7.3544 9.7184
angles (deg): 78.98 71.12 89.99
Positions (direct):
Ca 0.0000 0.0000 0.0000
Tb 0.1646 0.4153 0.3345
Tb 0.3406 0.8314 0.6620
Tb 0.6594 0.1686 0.3380
Tb 0.8354 0.5847 0.6655
Pr 0.0000 0.5000 0.0000
Pr 0.1687 0.9156 0.3395
Pr 0.3398 0.3380 0.6618
Pr 0.4986 0.7426 0.9978
Pr 0.5014 0.2574 0.0022
Pr 0.6602 0.6620 0.3382
Pr 0.8313 0.0844 0.6605

***

Entry 4:
Structure and calculated PXRD pattern of Ho7Bi2Au2 (a PBE-relaxed structure; Cu Kα, 1.54184 Å).
No peak broadening, texture or thermal motion is included.

Main lines, in order of rising 2θ (2θ = 10–90°):
Position (°2θ)  I/Imax
20.69  32
23.42  55
28.58  27
32.92  49
36.44  100
37.07  29

Atomic structure:
a b c (Å): 7.0757 7.0757 6.9910
angles (deg): 90.00 90.00 100.53
Positions (direct):
Ho 0.0000 0.0000 0.0000
Ho 0.0000 0.5000 0.2494
Ho 0.0000 0.5000 0.7506
Ho 0.5000 0.0000 0.2494
Ho 0.5000 0.0000 0.7506
Ho 0.5000 0.5000 0.2392
Ho 0.5000 0.5000 0.7608
Bi 0.1966 0.1966 0.5000
Bi 0.8034 0.8034 0.5000
Au 0.2790 0.7210 0.0000
Au 0.7210 0.2790 0.0000